Starting from DFT lattice parameters and positions (GGA-PBE), the powder XRD pattern of BaNb3NO7 was simulated for Cu Kα (weighted mean of Kα1 and Kα2).
No peak broadening, texture or thermal motion is included.

Largest 10 diffraction maxima, in order of falling intensity, 2θ = 10–90°:
| 2theta | d (Å) | intensity |
| --- | --- | --- |
| 30.5 | 2.932 | 100 |
| 25.6 | 3.476 | 91 |
| 25.9 | 3.446 | 86 |
| 26.1 | 3.408 | 81 |
| 27.9 | 3.193 | 60 |
| 31.2 | 2.868 | 41 |
| 46.7 | 1.944 | 36 |
| 54.0 | 1.697 | 29 |
| 33.8 | 2.654 | 28 |
| 54.2 | 1.693 | 21 |

Structural model:
Lattice parameters (Å, degrees): 10.794 10.794 9.129 90.49 90.49 20.75
Atoms (fractional coordinates):
Ba: 0.000 0.000 0.000
Ba: 0.030 0.030 0.507
Nb: 0.262 0.262 0.001
Nb: 0.386 0.386 0.313
Nb: 0.389 0.389 0.705
Nb: 0.651 0.651 0.819
Nb: 0.653 0.653 0.203
Nb: 0.780 0.780 0.513
N: 0.317 0.317 0.853
N: 0.458 0.458 0.821
O: 0.168 0.168 0.174
O: 0.172 0.172 0.849
O: 0.303 0.303 0.499
O: 0.315 0.315 0.170
O: 0.438 0.438 0.498
O: 0.454 0.454 0.189
O: 0.585 0.585 0.324
O: 0.587 0.587 0.688
O: 0.601 0.601 0.005
O: 0.722 0.722 0.664
O: 0.723 0.723 0.353
O: 0.729 0.729 0.009
O: 0.865 0.865 0.652
O: 0.866 0.866 0.349